[1]
Structure and computed powder XRD pattern of NaAlZnAu6 (a GGA-PBE-relaxed structure; Cu Kα X-rays).
Peak positions follow from Bragg's law for the DFT cell and can differ from measured ones.

Principal peaks in the range 2θ from 15° to 90°, in order of rising 2θ:
- hkl 2 0 2, 29.6°, rel. 21
- hkl 2 2 0, 31.6°, rel. 100
- hkl 1 2 3, 33.8°, rel. 35
- hkl 0 2 4, 38.3°, rel. 74
- hkl 0 4 0, 39.5°, rel. 53
- hkl 2 0 4, 41.4°, rel. 26
- hkl 3 2 1, 43.3°, rel. 24
- hkl 2 2 4, 46.1°, rel. 30

Atomic structure:
Unit cell a=7.2117 b=9.1300 c=10.9691 alpha=90.00 beta=90.00 gamma=90.00
Space group Imma (No. 74)
One atom of each set of equivalent atoms:
Na (0.0000, 0.2500, 0.2124) (multiplicity 4)
Al (0.0000, 0.0000, 0.0000) (multiplicity 4)
Zn (0.2500, 0.2500, 0.7500) (multiplicity 4)
Au (0.0000, 0.2500, 0.4910) (multiplicity 4)
Au (0.0000, 0.2500, 0.9165) (multiplicity 4)
Au (0.1978, 0.0031, 0.3716) (multiplicity 16)

[2]
Structure and computed powder XRD pattern of Nd3AlAu4 (a GGA-PBE-relaxed structure; Cu Kα X-rays).
Peak positions follow from Bragg's law for the DFT cell and can differ from measured ones.

Principal peaks in the range 2θ from 15° to 90°, in order of rising 2θ:
- hkl 0 0 4, 24.9°, rel. 53
- hkl 1 1 2, 27.9°, rel. 44
- hkl 1 2 1, 33.9°, rel. 100
- hkl 0 2 4, 35.7°, rel. 66
- hkl 1 0 5, 38.2°, rel. 73
- hkl 1 2 3, 38.4°, rel. 46
- hkl 2 0 0, 43.7°, rel. 36
- hkl 2 2 4, 57.7°, rel. 36

Atomic structure:
Unit cell a=4.1402 b=7.0780 c=14.3032 alpha=90.00 beta=90.00 gamma=90.00
Space group Immm (No. 71)
One atom of each set of equivalent atoms:
Nd (0.0000, 0.0000, 0.0000) (multiplicity 2)
Nd (0.0000, 0.5000, 0.1922) (multiplicity 4)
Al (0.0000, 0.0000, 0.5000) (multiplicity 2)
Au (0.0000, 0.2882, 0.3802) (multiplicity 8)

Copy entry 1 word for word.
Structure and computed powder XRD pattern of NaAlZnAu6 (a GGA-PBE-relaxed structure; Cu Kα X-rays).
Peak positions follow from Bragg's law for the DFT cell and can differ from measured ones.

Principal peaks in the range 2θ from 15° to 90°, in order of rising 2θ:
- hkl 2 0 2, 29.6°, rel. 21
- hkl 2 2 0, 31.6°, rel. 100
- hkl 1 2 3, 33.8°, rel. 35
- hkl 0 2 4, 38.3°, rel. 74
- hkl 0 4 0, 39.5°, rel. 53
- hkl 2 0 4, 41.4°, rel. 26
- hkl 3 2 1, 43.3°, rel. 24
- hkl 2 2 4, 46.1°, rel. 30

Atomic structure:
Unit cell a=7.2117 b=9.1300 c=10.9691 alpha=90.00 beta=90.00 gamma=90.00
Space group Imma (No. 74)
One atom of each set of equivalent atoms:
Na (0.0000, 0.2500, 0.2124) (multiplicity 4)
Al (0.0000, 0.0000, 0.0000) (multiplicity 4)
Zn (0.2500, 0.2500, 0.7500) (multiplicity 4)
Au (0.0000, 0.2500, 0.4910) (multiplicity 4)
Au (0.0000, 0.2500, 0.9165) (multiplicity 4)
Au (0.1978, 0.0031, 0.3716) (multiplicity 16)